For V3Cu2TeP6O24, a PBE+U-relaxed structure gives the theoretical PXRD pattern in this record (Cu Kα (weighted mean of Kα1 and Kα2)).

Largest 12 diffraction maxima, by intensity, 10 to 90 degrees two-theta:
two_theta  d (Å)  I (rel.)
20.42  4.349  1000
24.00  3.708  808
32.57  2.749  729
35.76  2.511  441
55.95  1.644  400
46.72  1.944  297
49.14  1.854  261
62.26  1.491  256
25.08  3.550  157
31.71  2.822  150
64.27  1.449  137
41.55  2.174  135

Structural model:
Cell lengths 8.693, 8.693, 8.693 Å; angles 60.04, 60.04, 60.04 degrees
Positions (direct):
V 0.000 0.000 0.000
V 0.213 0.213 0.213
V 0.714 0.714 0.714
Cu 0.353 0.353 0.353
Cu 0.857 0.857 0.857
Te 0.499 0.499 0.499
P 0.095 0.397 0.823
P 0.309 0.908 0.607
P 0.397 0.823 0.095
P 0.607 0.309 0.908
P 0.823 0.095 0.397
P 0.908 0.607 0.309
O 0.024 0.243 0.872
O 0.094 0.436 0.298
O 0.117 0.937 0.769
O 0.160 0.362 0.976
O 0.243 0.872 0.024
O 0.260 0.399 0.630
O 0.298 0.094 0.436
O 0.325 0.751 0.559
O 0.362 0.976 0.160
O 0.399 0.630 0.260
O 0.436 0.298 0.094
O 0.478 0.859 0.658
O 0.559 0.325 0.751
O 0.592 0.798 0.937
O 0.630 0.260 0.399
O 0.658 0.478 0.859
O 0.751 0.559 0.325
O 0.769 0.117 0.937
O 0.798 0.937 0.592
O 0.859 0.658 0.478
O 0.872 0.024 0.243
O 0.937 0.592 0.798
O 0.937 0.769 0.117
O 0.976 0.160 0.362